For VN3Cl5, a DFT-relaxed cell (GGA-PBE, the Materials Project) gives the calculated X-ray diffraction stick pattern in this record (Cu Kα (λ = 1.5418 Å)).

Structure:
Cell: 13.618 10.856 7.518 Å, 90.00 90.00 90.00°
Space group Pnma (No. 62)
Symmetry-distinct sites (fractional):
V: 0.109 0.250 0.245 (multiplicity 4)
N: 0.084 0.250 0.480 (multiplicity 4)
N: 0.143 0.508 0.858 (multiplicity 8)
Cl: 0.020 0.750 0.922 (multiplicity 4)
Cl: 0.117 0.043 0.281 (multiplicity 8)
Cl: 0.149 0.250 0.656 (multiplicity 4)
Cl: 0.247 0.250 0.096 (multiplicity 4)

The 6 most intense peaks (2θ = 10–90°), by angle:
Position (°2θ), Rel. int., hkl
14.33, 65, 0 1 1
15.36, 100, 2 1 0
17.57, 28, 2 0 1
28.30, 31, 2 1 2
29.64, 29, 1 2 2
33.00, 32, 0 4 0

---

For RbMg14Mo, a DFT-relaxed cell (GGA-PBE, the Materials Project) gives the calculated X-ray diffraction stick pattern in this record (Cu Kα (λ = 1.5418 Å)).

Structure:
Cell: 6.5023 6.5023 10.3555 Å, 90.00 90.00 120.00°
Space group P-6m2 (No. 187)
Symmetry-distinct sites (fractional):
Rb: 0.0000 0.0000 0.0000 (multiplicity 1)
Mg: 0.0122 0.5061 0.0000 (multiplicity 3)
Mg: 0.1650 0.3300 0.2767 (multiplicity 6)
Mg: 0.5056 0.0112 0.5000 (multiplicity 3)
Mg: 0.6667 0.3333 0.2407 (multiplicity 2)
Mo: 0.0000 0.0000 0.5000 (multiplicity 1)

The 6 most intense peaks (2θ = 10–90°), by angle:
Position (°2θ), Rel. int., hkl
15.74, 32, 1 0 0
23.34, 25, 1 0 2
31.78, 29, 2 0 0
34.65, 23, 0 0 4
36.32, 100, 2 0 2
56.62, 18, 2 2 0

---

For B6P, a DFT-relaxed cell (GGA-PBE, the Materials Project) gives the calculated X-ray diffraction stick pattern in this record (Cu Kα (λ = 1.5418 Å)).

Structure:
Cell: 5.9931 5.9931 11.8579 Å, 90.00 90.00 120.00°
Space group R-3m (No. 166, hexagonal axes)
Symmetry-distinct sites (fractional):
B: 0.0225 0.5112 0.1951 (multiplicity 18)
B: 0.1045 0.2091 0.3826 (multiplicity 18)
P: 0.0000 0.0000 0.0949 (multiplicity 6)

The 6 most intense peaks (2θ = 10–90°), by angle:
Position (°2θ), Rel. int., hkl
22.77, 71, 0 1 2
29.82, 53, 1 1 0
34.85, 72, 1 0 4
35.41, 100, 0 2 1
46.95, 31, 2 1 1
61.33, 43, 1 2 5

---

For V2FeSi, a DFT-relaxed cell (GGA-PBE, the Materials Project) gives the calculated X-ray diffraction stick pattern in this record (Cu Kα (λ = 1.5418 Å)).

Structure:
Cell: 4.540 6.522 6.511 Å, 90.00 90.00 90.00°
Space group Ama2 (No. 40)
Symmetry-distinct sites (fractional):
V: 0.000 0.000 0.000 (multiplicity 4)
V: 0.250 0.118 0.624 (multiplicity 4)
Fe: 0.250 0.371 0.879 (multiplicity 4)
Si: 0.250 0.245 0.253 (multiplicity 4)

The 6 most intense peaks (2θ = 10–90°), by angle:
Position (°2θ), Rel. int., hkl
39.10, 38, 0 2 2
43.94, 91, 0 3 1
44.08, 100, 1 2 2
44.49, 92, 2 1 1
48.52, 89, 1 1 3
48.90, 35, 2 2 0

---

For Sr2Mg, a DFT-relaxed cell (GGA-PBE, the Materials Project) gives the calculated X-ray diffraction stick pattern in this record (Cu Kα (λ = 1.5418 Å)).

Structure:
Cell: 6.191 4.167 20.207 Å, 90.00 90.00 90.00°
Space group Amm2 (No. 38)
Symmetry-distinct sites (fractional):
Sr: 0.000 0.000 0.000 (multiplicity 2)
Sr: 0.000 0.000 0.323 (multiplicity 2)
Sr: 0.000 0.000 0.663 (multiplicity 2)
Sr: 0.500 0.000 0.881 (multiplicity 2)
Mg: 0.500 0.000 0.213 (multiplicity 2)
Mg: 0.500 0.000 0.550 (multiplicity 2)

The 6 most intense peaks (2θ = 10–90°), by angle:
Position (°2θ), Rel. int., hkl
25.13, 27, 0 1 3
28.84, 32, 2 0 0
29.03, 100, 1 1 3
30.21, 41, 1 0 6
51.23, 20, 3 1 3
55.13, 19, 2 1 9

---

For K2Ge3B2O10, a DFT-relaxed cell (GGA-PBE, the Materials Project) gives the calculated X-ray diffraction stick pattern in this record (Cu Kα (λ = 1.5418 Å)).

Structure:
Cell: 16.128 6.264 12.059 Å, 90.00 131.38 90.00°
Space group C2 (No. 5)
Symmetry-distinct sites (fractional):
K: 0.149 0.000 0.387 (multiplicity 4)
K: 0.238 0.253 0.886 (multiplicity 4)
Ge: 0.000 0.164 0.500 (multiplicity 2)
Ge: 0.000 0.909 0.000 (multiplicity 2)
Ge: 0.042 0.485 0.176 (multiplicity 4)
Ge: 0.124 0.738 0.684 (multiplicity 4)
B: 0.078 0.508 0.441 (multiplicity 4)
B: 0.141 0.261 0.077 (multiplicity 4)
O: 0.011 0.752 0.886 (multiplicity 4)
O: 0.043 0.538 0.676 (multiplicity 4)
O: 0.063 0.287 0.913 (multiplicity 4)
O: 0.067 0.998 0.659 (multiplicity 4)
O: 0.105 0.304 0.523 (multiplicity 4)
O: 0.122 0.056 0.122 (multiplicity 4)
O: 0.126 0.491 0.370 (multiplicity 4)
O: 0.135 0.691 0.548 (multiplicity 4)
O: 0.136 0.448 0.148 (multiplicity 4)
O: 0.246 0.746 0.872 (multiplicity 4)

The 6 most intense peaks (2θ = 10–90°), by angle:
Position (°2θ), Rel. int., hkl
14.64, 67, 2 0 0
14.79, 46, 2 0 -2
22.05, 37, 4 0 -2
29.03, 100, 1 1 -3
30.62, 85, 2 2 -1
32.96, 35, 3 1 1

---

For HfMgS3O12, a DFT-relaxed cell (GGA-PBE, the Materials Project) gives the calculated X-ray diffraction stick pattern in this record (Cu Kα (λ = 1.5418 Å)).

Structure:
Cell: 8.7706 8.7706 22.5279 Å, 90.00 90.00 120.00°
Space group R3c (No. 161, hexagonal axes)
Symmetry-distinct sites (fractional):
Hf: 0.0000 0.0000 0.0000 (multiplicity 6)
Mg: 0.0000 0.0000 0.2090 (multiplicity 6)
S: 0.0463 0.3737 0.2730 (multiplicity 18)
O: 0.0231 0.2002 0.2627 (multiplicity 18)
O: 0.0320 0.2091 0.5522 (multiplicity 18)
O: 0.1542 0.4583 0.3248 (multiplicity 18)
O: 0.1577 0.4651 0.6135 (multiplicity 18)

The 6 most intense peaks (2θ = 10–90°), by angle:
Position (°2θ), Rel. int., hkl
14.06, 100, 0 1 2
19.62, 62, 1 0 4
20.25, 34, 1 1 0
23.49, 47, 1 1 3
28.34, 40, 0 2 4
31.37, 52, 1 1 6